Record 1
Structure and simulated XRD peak list of Na2Fe2C4SO16 (a structure optimized by DFT (PBE+U); Cu Kα, 1.54184 Å).
No peak broadening, texture or thermal motion is included.

Largest 10 diffraction maxima, by angle, 2θ from 10° to 90°:
2θ/deg	intensity
10.96	100
17.96	70
21.01	82
21.18	59
22.02	19
25.39	24
33.18	62
33.51	23
36.40	27
57.26	20

Structure:
Lattice parameters (Å, degrees): 9.926 9.876 9.867 60.37 59.86 59.77
Sites, in units of the cell vectors:
Na: 0.086 0.664 0.086
Na: 0.336 0.914 0.336
Na: 0.664 0.086 0.664
Na: 0.914 0.336 0.914
Fe: 0.000 0.500 0.500
Fe: 0.500 0.000 0.500
Fe: 0.500 0.500 0.000
Fe: 0.500 0.500 0.500
C: 0.283 0.637 0.291
C: 0.289 0.291 0.637
C: 0.291 0.289 0.283
C: 0.363 0.717 0.711
C: 0.637 0.283 0.289
C: 0.709 0.711 0.717
C: 0.711 0.709 0.363
C: 0.717 0.363 0.709
S: 0.125 0.125 0.125
S: 0.875 0.875 0.875
O: 0.062 0.064 0.309
O: 0.064 0.062 0.064
O: 0.064 0.309 0.064
O: 0.142 0.635 0.407
O: 0.144 0.315 0.648
O: 0.149 0.406 0.311
O: 0.309 0.064 0.062
O: 0.311 0.634 0.149
O: 0.315 0.144 0.394
O: 0.316 0.407 0.635
O: 0.352 0.606 0.856
O: 0.365 0.858 0.684
O: 0.366 0.689 0.594
O: 0.394 0.648 0.315
O: 0.406 0.149 0.634
O: 0.407 0.316 0.142
O: 0.593 0.684 0.858
O: 0.594 0.851 0.366
O: 0.606 0.352 0.685
O: 0.634 0.311 0.406
O: 0.635 0.142 0.316
O: 0.648 0.394 0.144
O: 0.684 0.593 0.365
O: 0.685 0.856 0.606
O: 0.689 0.366 0.851
O: 0.691 0.936 0.938
O: 0.851 0.594 0.689
O: 0.856 0.685 0.352
O: 0.858 0.365 0.593
O: 0.936 0.691 0.936
O: 0.936 0.938 0.936
O: 0.938 0.936 0.691



Record 2
Structure and simulated XRD peak list of RbErW2O8 (a structure optimized by DFT (PBE+U); Cu Kα, 1.54184 Å).
No peak broadening, texture or thermal motion is included.

Largest 10 diffraction maxima, by angle, 2θ from 10° to 90°:
2θ/deg	intensity
25.87	19
26.30	100
27.56	69
28.07	29
28.28	96
34.48	23
34.68	24
34.99	20
44.69	26
50.41	22

Structure:
Lattice parameters (Å, degrees): 9.050 10.406 8.044 90.00 99.26 90.00
Sites, in units of the cell vectors:
Rb: 0.012 0.213 0.073
Rb: 0.012 0.287 0.573
Rb: 0.988 0.713 0.427
Rb: 0.988 0.787 0.927
Er: 0.440 0.223 0.979
Er: 0.440 0.277 0.479
Er: 0.560 0.723 0.521
Er: 0.560 0.777 0.021
W: 0.280 0.509 0.213
W: 0.280 0.991 0.713
W: 0.338 0.511 0.822
W: 0.338 0.989 0.322
W: 0.662 0.011 0.678
W: 0.662 0.489 0.178
W: 0.720 0.009 0.287
W: 0.720 0.491 0.787
O: 0.105 0.587 0.150
O: 0.105 0.913 0.650
O: 0.170 0.587 0.732
O: 0.170 0.913 0.232
O: 0.232 0.131 0.834
O: 0.232 0.369 0.334
O: 0.274 0.103 0.497
O: 0.274 0.397 0.997
O: 0.346 0.137 0.196
O: 0.346 0.363 0.696
O: 0.366 0.614 0.387
O: 0.366 0.886 0.887
O: 0.410 0.602 0.049
O: 0.410 0.898 0.549
O: 0.491 0.610 0.744
O: 0.491 0.890 0.244
O: 0.509 0.110 0.756
O: 0.509 0.390 0.256
O: 0.590 0.102 0.451
O: 0.590 0.398 0.951
O: 0.634 0.114 0.113
O: 0.634 0.386 0.613
O: 0.654 0.637 0.304
O: 0.654 0.863 0.804
O: 0.726 0.603 0.003
O: 0.726 0.897 0.503
O: 0.768 0.631 0.666
O: 0.768 0.869 0.166
O: 0.830 0.087 0.768
O: 0.830 0.413 0.268
O: 0.895 0.087 0.350
O: 0.895 0.413 0.850



Record 3
Structure and simulated XRD peak list of Co3Te2O8 (a structure optimized by DFT (PBE+U); Cu Kα, 1.54184 Å).
No peak broadening, texture or thermal motion is included.

Largest 10 diffraction maxima, by angle, 2θ from 10° to 90°:
2θ/deg	intensity
13.60	24
19.39	41
23.76	100
27.45	88
33.79	27
34.68	28
36.58	82
50.74	40
53.99	30
60.37	23

Structure:
Lattice parameters (Å, degrees): 13.019 13.019 5.008 90.00 90.00 120.00
Sites, in units of the cell vectors:
Co: 0.072 0.433 0.000
Co: 0.072 0.639 0.000
Co: 0.361 0.433 0.000
Co: 0.361 0.928 0.000
Co: 0.433 0.072 0.500
Co: 0.433 0.361 0.500
Co: 0.567 0.639 0.000
Co: 0.567 0.928 0.000
Co: 0.639 0.072 0.500
Co: 0.639 0.567 0.500
Co: 0.928 0.361 0.500
Co: 0.928 0.567 0.500
Te: 0.140 0.280 0.560
Te: 0.140 0.860 0.560
Te: 0.280 0.140 0.060
Te: 0.333 0.667 0.932
Te: 0.667 0.333 0.432
Te: 0.720 0.860 0.560
Te: 0.860 0.140 0.060
Te: 0.860 0.720 0.060
O: 0.000 0.000 0.201
O: 0.000 0.000 0.701
O: 0.043 0.522 0.725
O: 0.054 0.327 0.324
O: 0.054 0.727 0.324
O: 0.193 0.596 0.144
O: 0.206 0.412 0.803
O: 0.206 0.794 0.803
O: 0.273 0.327 0.324
O: 0.273 0.946 0.324
O: 0.327 0.054 0.824
O: 0.327 0.273 0.824
O: 0.404 0.596 0.144
O: 0.404 0.807 0.144
O: 0.412 0.206 0.303
O: 0.478 0.522 0.725
O: 0.478 0.957 0.725
O: 0.522 0.043 0.225
O: 0.522 0.478 0.225
O: 0.588 0.794 0.803
O: 0.596 0.193 0.644
O: 0.596 0.404 0.644
O: 0.673 0.727 0.324
O: 0.673 0.946 0.324
O: 0.727 0.054 0.824
O: 0.727 0.673 0.824
O: 0.794 0.206 0.303
O: 0.794 0.588 0.303
O: 0.807 0.404 0.644
O: 0.946 0.273 0.824
O: 0.946 0.673 0.824
O: 0.957 0.478 0.225



Record 4
Structure and simulated XRD peak list of Li9Mn2Co5O16 (a structure optimized by DFT (PBE+U); Cu Kα, 1.54184 Å).
No peak broadening, texture or thermal motion is included.

Largest 10 diffraction maxima, by angle, 2θ from 10° to 90°:
2θ/deg	intensity
18.26	100
35.38	16
36.17	13
36.38	12
42.58	29
43.82	27
44.10	26
47.41	9
63.02	8
63.36	14

Structure:
Lattice parameters (Å, degrees): 2.951 10.054 10.229 108.19 90.76 91.07
Sites, in units of the cell vectors:
Li: 0.000 0.000 0.000
Li: 0.001 0.748 0.750
Li: 0.477 0.759 0.006
Li: 0.484 0.749 0.516
Li: 0.488 0.256 0.008
Li: 0.503 0.245 0.507
Li: 0.976 0.518 0.520
Li: 0.989 0.503 0.010
Li: 0.996 0.001 0.511
Mn: 0.475 0.508 0.760
Mn: 0.990 0.254 0.261
Co: 0.485 0.516 0.260
Co: 0.490 0.991 0.257
Co: 0.504 0.995 0.759
Co: 0.978 0.253 0.763
Co: 0.991 0.754 0.259
O: 0.043 0.891 0.644
O: 0.441 0.376 0.873
O: 0.482 0.142 0.153
O: 0.485 0.613 0.643
O: 0.489 0.623 0.139
O: 0.496 0.883 0.376
O: 0.497 0.897 0.872
O: 0.499 0.364 0.368
O: 0.524 0.128 0.652
O: 0.962 0.129 0.871
O: 0.966 0.383 0.655
O: 0.983 0.376 0.149
O: 0.984 0.612 0.869
O: 0.984 0.886 0.132
O: 0.993 0.131 0.372
O: 0.994 0.621 0.382